# 1
RbSmO3: simulated PXRD pattern (CuKα), based on DFT lattice parameters and positions (PBE).

Cell and atoms:
Lattice parameters (Å, degrees): 4.577 4.577 4.577 90.00 90.00 90.00
Sites, in units of the cell vectors:
1 Rb 0.000 0.000 0.000
2 Sm 0.500 0.500 0.500
3 O 0.000 0.500 0.500
4 O 0.500 0.000 0.500
5 O 0.500 0.500 0.000

Largest 10 diffraction maxima, most intense first, 2θ = 10–90°:
- 27.6°, d 3.236, I 100
- 48.7°, d 1.869, I 42
- 39.4°, d 2.288, I 32
- 78.1°, d 1.223, I 22
- 56.9°, d 1.618, I 21
- 64.4°, d 1.447, I 19
- 19.4°, d 4.577, I 16
- 44.3°, d 2.047, I 7
- 71.4°, d 1.321, I 7
- 60.7°, d 1.526, I 3

# 2
Rb2Sn3O7: simulated PXRD pattern (CuKα), based on DFT lattice parameters and positions (PBE).

Cell and atoms:
Lattice parameters (Å, degrees): 17.329 3.218 13.328 90.00 90.00 90.00
Sites, in units of the cell vectors:
1 Rb 0.066 0.250 0.106
2 Rb 0.197 0.250 0.559
3 Rb 0.303 0.750 0.059
4 Rb 0.434 0.750 0.606
5 Rb 0.566 0.250 0.394
6 Rb 0.697 0.250 0.941
7 Rb 0.803 0.750 0.441
8 Rb 0.934 0.750 0.894
9 Sn 0.018 0.750 0.390
10 Sn 0.126 0.250 0.828
11 Sn 0.207 0.250 0.294
12 Sn 0.293 0.750 0.794
13 Sn 0.374 0.750 0.328
14 Sn 0.482 0.250 0.890
15 Sn 0.518 0.750 0.110
16 Sn 0.626 0.250 0.672
17 Sn 0.707 0.250 0.206
18 Sn 0.793 0.750 0.706
19 Sn 0.874 0.750 0.172
20 Sn 0.982 0.250 0.610
21 O 0.024 0.250 0.751
22 O 0.050 0.750 0.551
23 O 0.097 0.750 0.920
24 O 0.098 0.250 0.369
25 O 0.177 0.750 0.204
26 O 0.177 0.750 0.741
27 O 0.249 0.250 0.886
28 O 0.251 0.750 0.386
29 O 0.323 0.250 0.241
30 O 0.323 0.250 0.704
31 O 0.402 0.750 0.869
32 O 0.403 0.250 0.420
33 O 0.450 0.250 0.051
34 O 0.476 0.750 0.251
35 O 0.524 0.250 0.749
36 O 0.550 0.750 0.949
37 O 0.597 0.750 0.580
38 O 0.598 0.250 0.131
39 O 0.677 0.750 0.296
40 O 0.677 0.750 0.759
41 O 0.749 0.250 0.614
42 O 0.751 0.750 0.114
43 O 0.823 0.250 0.259
44 O 0.823 0.250 0.796
45 O 0.902 0.750 0.631
46 O 0.903 0.250 0.080
47 O 0.950 0.250 0.449
48 O 0.976 0.750 0.249

Largest 10 diffraction maxima, most intense first, 2θ = 10–90°:
- 28.8°, d 3.105, I 100
- 26.6°, d 3.354, I 80
- 27.3°, d 3.272, I 68
- 34.6°, d 2.589, I 65
- 29.6°, d 3.017, I 51
- 32.6°, d 2.750, I 49
- 31.7°, d 2.823, I 47
- 39.3°, d 2.294, I 42
- 42.0°, d 2.149, I 32
- 14.2°, d 6.220, I 31

# 3
Rb2Ta2O5: simulated PXRD pattern (CuKα), based on DFT lattice parameters and positions (PBE).

Cell and atoms:
Lattice parameters (Å, degrees): 9.080 9.080 9.080 142.17 54.39 142.42
Sites, in units of the cell vectors:
1 Rb 0.130 0.008 0.122
2 Rb 0.386 0.008 0.378
3 Rb 0.614 0.992 0.622
4 Rb 0.870 0.992 0.878
5 Ta 0.000 0.500 0.500
6 Ta 0.217 0.467 0.750
7 Ta 0.500 0.500 0.000
8 Ta 0.783 0.533 0.250
9 O 0.000 0.000 0.500
10 O 0.000 0.500 0.000
11 O 0.132 0.504 0.628
12 O 0.249 0.000 0.749
13 O 0.249 0.500 0.249
14 O 0.375 0.504 0.872
15 O 0.625 0.496 0.128
16 O 0.751 0.000 0.251
17 O 0.751 0.500 0.751
18 O 0.868 0.496 0.372

Largest 10 diffraction maxima, most intense first, 2θ = 10–90°:
- 30.9°, d 2.894, I 100
- 30.4°, d 2.944, I 29
- 43.6°, d 2.075, I 28
- 30.6°, d 2.924, I 26
- 21.4°, d 4.149, I 23
- 54.3°, d 1.690, I 21
- 54.5°, d 1.682, I 18
- 64.4°, d 1.447, I 17
- 44.9°, d 2.019, I 14
- 72.2°, d 1.309, I 12

# 4
Rb8Ta6O19: simulated PXRD pattern (CuKα), based on DFT lattice parameters and positions (PBE).

Cell and atoms:
Lattice parameters (Å, degrees): 9.763 9.763 9.763 119.66 119.66 90.58
Sites, in units of the cell vectors:
1 Rb 0.059 0.423 0.193
2 Rb 0.134 0.941 0.365
3 Rb 0.230 0.866 0.807
4 Rb 0.423 0.230 0.365
5 Rb 0.577 0.770 0.635
6 Rb 0.770 0.134 0.193
7 Rb 0.866 0.059 0.635
8 Rb 0.941 0.577 0.807
9 Ta 0.280 0.394 0.674
10 Ta 0.329 0.329 0.000
11 Ta 0.394 0.720 0.114
12 Ta 0.606 0.280 0.886
13 Ta 0.671 0.671 0.000
14 Ta 0.720 0.606 0.326
15 O 0.119 0.300 0.419
16 O 0.175 0.266 0.728
17 O 0.195 0.195 0.000
18 O 0.233 0.590 0.824
19 O 0.266 0.538 0.091
20 O 0.300 0.881 0.181
21 O 0.410 0.233 0.643
22 O 0.446 0.175 0.909
23 O 0.462 0.554 0.728
24 O 0.500 0.500 0.000
25 O 0.538 0.446 0.272
26 O 0.554 0.825 0.091
27 O 0.590 0.767 0.357
28 O 0.700 0.119 0.819
29 O 0.734 0.462 0.909
30 O 0.767 0.410 0.176
31 O 0.805 0.805 0.000
32 O 0.825 0.734 0.272
33 O 0.881 0.700 0.581

Largest 10 diffraction maxima, most intense first, 2θ = 10–90°:
- 28.2°, d 3.168, I 100
- 11.1°, d 7.984, I 84
- 28.8°, d 3.102, I 56
- 12.8°, d 6.938, I 30
- 41.1°, d 2.194, I 24
- 50.6°, d 1.804, I 19
- 22.3°, d 3.992, I 18
- 39.4°, d 2.289, I 16
- 31.6°, d 2.828, I 16
- 12.9°, d 6.868, I 16

# 5
RbTaTiO5: simulated PXRD pattern (CuKα), based on DFT lattice parameters and positions (PBE).

Cell and atoms:
Lattice parameters (Å, degrees): 6.547 3.841 19.326 90.00 90.00 90.00
Sites, in units of the cell vectors:
1 Rb 0.203 0.250 0.196
2 Rb 0.297 0.750 0.696
3 Rb 0.703 0.250 0.304
4 Rb 0.797 0.750 0.804
5 Ta 0.231 0.250 0.895
6 Ta 0.269 0.750 0.395
7 Ta 0.731 0.250 0.605
8 Ta 0.769 0.750 0.105
9 Ti 0.186 0.250 0.534
10 Ti 0.314 0.750 0.034
11 Ti 0.686 0.250 0.966
12 Ti 0.814 0.750 0.466
13 O 0.035 0.250 0.615
14 O 0.065 0.750 0.072
15 O 0.150 0.750 0.509
16 O 0.172 0.250 0.804
17 O 0.238 0.750 0.923
18 O 0.262 0.250 0.423
19 O 0.328 0.750 0.304
20 O 0.350 0.250 0.009
21 O 0.435 0.250 0.572
22 O 0.465 0.750 0.115
23 O 0.535 0.250 0.885
24 O 0.565 0.750 0.428
25 O 0.650 0.750 0.991
26 O 0.672 0.250 0.696
27 O 0.738 0.750 0.577
28 O 0.762 0.250 0.077
29 O 0.828 0.750 0.196
30 O 0.850 0.250 0.491
31 O 0.935 0.250 0.928
32 O 0.965 0.750 0.385

Largest 10 diffraction maxima, most intense first, 2θ = 10–90°:
- 27.3°, d 3.270, I 100
- 27.0°, d 3.299, I 86
- 30.3°, d 2.946, I 69
- 16.4°, d 5.420, I 62
- 30.9°, d 2.890, I 56
- 22.9°, d 3.887, I 35
- 38.8°, d 2.324, I 34
- 47.3°, d 1.921, I 24
- 18.4°, d 4.832, I 23
- 50.7°, d 1.802, I 22

# 6
Rb6Te2O9: simulated PXRD pattern (CuKα), based on DFT lattice parameters and positions (PBE).

Cell and atoms:
Lattice parameters (Å, degrees): 8.912 8.912 11.230 112.07 112.07 92.95
Sites, in units of the cell vectors:
1 Rb 0.001 0.803 0.523
2 Rb 0.176 0.401 0.261
3 Rb 0.197 0.999 0.977
4 Rb 0.206 0.500 0.972
5 Rb 0.401 0.176 0.761
6 Rb 0.500 0.206 0.472
7 Rb 0.500 0.794 0.528
8 Rb 0.599 0.824 0.239
9 Rb 0.794 0.500 0.028
10 Rb 0.803 0.001 0.023
11 Rb 0.824 0.599 0.739
12 Rb 0.999 0.197 0.477
13 Te 0.126 0.874 0.250
14 Te 0.354 0.646 0.750
15 Te 0.646 0.354 0.250
16 Te 0.874 0.126 0.750
17 O 0.020 0.764 0.042
18 O 0.083 0.169 0.744
19 O 0.134 0.593 0.715
20 O 0.169 0.083 0.244
21 O 0.236 0.980 0.458
22 O 0.274 0.726 0.250
23 O 0.385 0.513 0.593
24 O 0.407 0.866 0.785
25 O 0.487 0.615 0.907
26 O 0.513 0.385 0.093
27 O 0.593 0.134 0.215
28 O 0.615 0.487 0.407
29 O 0.726 0.274 0.750
30 O 0.764 0.020 0.542
31 O 0.831 0.917 0.756
32 O 0.866 0.407 0.285
33 O 0.917 0.831 0.256
34 O 0.980 0.236 0.958

Largest 10 diffraction maxima, most intense first, 2θ = 10–90°:
- 27.6°, d 3.233, I 100
- 29.1°, d 3.069, I 20
- 48.8°, d 1.866, I 18
- 40.5°, d 2.225, I 15
- 38.3°, d 2.353, I 11
- 50.7°, d 1.802, I 10
- 57.0°, d 1.617, I 9
- 47.8°, d 1.902, I 7
- 17.3°, d 5.140, I 6
- 16.6°, d 5.327, I 5

# 7
RbTe2O6: simulated PXRD pattern (CuKα), based on DFT lattice parameters and positions (PBE).

Cell and atoms:
Lattice parameters (Å, degrees): 7.436 7.436 7.436 60.00 60.00 60.00
Sites, in units of the cell vectors:
1 Rb 0.125 0.125 0.125
2 Rb 0.875 0.875 0.875
3 Te 0.000 0.500 0.500
4 Te 0.500 0.000 0.500
5 Te 0.500 0.500 0.000
6 Te 0.500 0.500 0.500
7 O 0.180 0.180 0.570
8 O 0.180 0.570 0.180
9 O 0.180 0.570 0.570
10 O 0.430 0.430 0.820
11 O 0.430 0.820 0.430
12 O 0.430 0.820 0.820
13 O 0.570 0.180 0.180
14 O 0.570 0.180 0.570
15 O 0.570 0.570 0.180
16 O 0.820 0.430 0.430
17 O 0.820 0.430 0.820
18 O 0.820 0.820 0.430

Largest 10 diffraction maxima, most intense first, 2θ = 10–90°:
- 28.1°, d 3.171, I 100
- 29.4°, d 3.036, I 51
- 49.0°, d 1.859, I 41
- 14.6°, d 6.071, I 35
- 44.8°, d 2.024, I 32
- 68.5°, d 1.369, I 24
- 58.2°, d 1.585, I 22
- 57.5°, d 1.604, I 14
- 78.8°, d 1.214, I 10
- 23.9°, d 3.718, I 10

# 8
RbTeO3: simulated PXRD pattern (CuKα), based on DFT lattice parameters and positions (PBE).

Cell and atoms:
Lattice parameters (Å, degrees): 4.172 4.172 4.172 90.00 90.00 90.00
Sites, in units of the cell vectors:
1 Rb 0.000 0.000 0.000
2 Te 0.500 0.500 0.500
3 O 0.000 0.500 0.500
4 O 0.500 0.000 0.500
5 O 0.500 0.500 0.000

Largest 10 diffraction maxima, most intense first, 2θ = 10–90°:
- 30.3°, d 2.950, I 100
- 53.8°, d 1.703, I 40
- 43.4°, d 2.086, I 33
- 87.5°, d 1.115, I 21
- 63.0°, d 1.475, I 20
- 71.5°, d 1.319, I 17
- 21.3°, d 4.172, I 10
- 79.6°, d 1.204, I 7
- 48.8°, d 1.866, I 4
- 67.3°, d 1.391, I 2